Starting from a DFT-relaxed cell (PBE, Alexandria), the powder diffraction line list of Sm5Si2B8 was simulated for Cu Kα, 1.54184 Å.
Intensities are scaled so that the largest is 100.

Structure:
Unit cell a=7.3508 b=7.3508 c=8.3701 alpha=90.00 beta=90.00 gamma=90.00
Space group P4/mbm (No. 127)
Asymmetric unit:
Sm (0.0000, 0.0000, 0.0000) [2 per cell]
Sm (0.1806, 0.3194, 0.2763) [8 per cell]
Si (0.1129, 0.6129, 0.0000) [4 per cell]
B (0.0000, 0.0000, 0.3444) [4 per cell]
B (0.0393, 0.8285, 0.5000) [8 per cell]
B (0.0911, 0.5911, 0.5000) [4 per cell]

Top 8 peaks for 15 to 90 degrees two-theta, most intense first:
| Position (°2θ) | I_rel | h k l |
| --- | --- | --- |
| 34.7 | 100 | 2 1 2 |
| 32.4 | 86 | 2 0 2 |
| 27.1 | 65 | 2 1 0 |
| 51.2 | 43 | 4 1 0 |
| 38.7 | 34 | 3 1 0 |
| 56.1 | 30 | 4 1 2 |
| 57.6 | 24 | 3 3 2 |
| 27.4 | 22 | 1 1 2 |